# Ca8MgGa2
Simulated XRD peak list, Cu Kα, 1.54184 Å. Input: a PBE-relaxed structure.

Top 6 peaks for 2θ = 15–90°, most intense first:
2theta	d [Å]	I_rel
31.7	2.826	100
30.6	2.920	30
34.3	2.615	28
35.1	2.557	16
36.7	2.447	15
59.8	1.547	14

Crystal structure
Unit cell a=9.2480 b=9.2480 c=9.2480 alpha=147.15 beta=122.42 gamma=67.90
Atoms (fractional coordinates):
Ca (0.1294, 0.3377, 0.7918)
Ca (0.1441, 0.1441, 0.0000)
Ca (0.3178, 0.0000, 0.3178)
Ca (0.4541, 0.6623, 0.7918)
Ca (0.5459, 0.3377, 0.2082)
Ca (0.6822, 0.0000, 0.6822)
Ca (0.8559, 0.8559, 0.0000)
Ca (0.8706, 0.6623, 0.2082)
Mg (0.0000, 0.5000, 0.5000)
Ga (0.3049, 0.8049, 0.5000)
Ga (0.6951, 0.1951, 0.5000)

=====

# Pr2Y6Tm
Simulated XRD peak list, Cu Kα, 1.54184 Å. Input: a PBE-relaxed structure.

Top 6 peaks for 2θ = 15–90°, most intense first:
2theta	d [Å]	I_rel
31.4	2.847	100
31.2	2.865	19
44.9	2.018	15
55.7	1.651	15
56.0	1.641	12
62.5	1.486	10

Crystal structure
Unit cell a=10.4979 b=10.4979 c=10.4979 alpha=124.12 beta=70.09 gamma=141.21
Atoms (fractional coordinates):
Pr (0.0829, 0.2500, 0.8329)
Pr (0.4171, 0.2500, 0.1671)
Pr (0.5829, 0.7500, 0.8329)
Pr (0.9171, 0.7500, 0.1671)
Y (0.0062, 0.8304, 0.8366)
Y (0.1596, 0.3320, 0.4916)
Y (0.1703, 0.6639, 0.8342)
Y (0.3297, 0.1639, 0.4937)
Y (0.3404, 0.8320, 0.1725)
Y (0.4938, 0.3304, 0.8242)
Y (0.5062, 0.6696, 0.1758)
Y (0.6596, 0.1680, 0.8275)
Y (0.6703, 0.8361, 0.5063)
Y (0.8297, 0.3361, 0.1658)
Y (0.8404, 0.6680, 0.5084)
Y (0.9938, 0.1696, 0.1634)
Tm (0.2500, 0.7500, 0.5000)
Tm (0.7500, 0.2500, 0.5000)